Diffraction record for Mn6O7F5. The powder XRD pattern is computed, not measured: it uses a DFT-relaxed cell (GGA+U, the Materials Project) and CuKα.
Neutral-atom scattering factors, no anomalous dispersion.

Crystal structure
a = 4.5876 Å, b = 5.6714 Å, c = 15.3163 Å
α = 90.04°, β = 90.37°, γ = 90.31°
Space group P1 (No. 1)
Asymmetric unit:
Mn  0.0000  0.0000  0.0000 [1 per cell]
Mn  0.0025  0.6764  0.4999 [1 per cell]
Mn  0.0056  0.9837  0.6673 [1 per cell]
Mn  0.0109  0.6772  0.8360 [1 per cell]
Mn  0.4601  0.2017  0.8281 [1 per cell]
Mn  0.4754  0.4997  0.6577 [1 per cell]
Mn  0.4776  0.4915  0.3246 [1 per cell]
Mn  0.4852  0.4784  0.9871 [1 per cell]
Mn  0.4877  0.2063  0.4856 [1 per cell]
Mn  0.4912  0.1888  0.1549 [1 per cell]
Mn  0.9826  0.6876  0.1700 [1 per cell]
Mn  0.9950  0.9937  0.3388 [1 per cell]
O  0.1988  0.7281  0.2790 [1 per cell]
O  0.1986  0.9556  0.1104 [1 per cell]
O  0.1998  0.7215  0.6086 [1 per cell]
O  0.2133  0.7242  0.9434 [1 per cell]
O  0.2166  0.9550  0.4445 [1 per cell]
O  0.2179  0.9527  0.7781 [1 per cell]
O  0.2572  0.4417  0.7663 [1 per cell]
O  0.2578  0.2359  0.9340 [1 per cell]
O  0.2609  0.4413  0.4326 [1 per cell]
O  0.6962  0.4591  0.2151 [1 per cell]
O  0.7053  0.4534  0.8843 [1 per cell]
O  0.7063  0.2242  0.3830 [1 per cell]
O  0.7072  0.2268  0.0480 [1 per cell]
O  0.7081  0.4548  0.5513 [1 per cell]
F  0.2343  0.2228  0.2586 [1 per cell]
F  0.2390  0.4615  0.0929 [1 per cell]
F  0.2504  0.2211  0.5947 [1 per cell]
F  0.7090  0.2143  0.7178 [1 per cell]
F  0.7335  0.7158  0.0545 [1 per cell]
F  0.7357  0.9711  0.5565 [1 per cell]
F  0.7374  0.9587  0.2327 [1 per cell]
F  0.7441  0.9667  0.8883 [1 per cell]
F  0.7487  0.7179  0.3975 [1 per cell]
F  0.7557  0.7120  0.7297 [1 per cell]

Top 10 peaks for 2θ = 10–80°, in order of rising 2θ:
two_theta, intensity
24.90, 56.2
25.03, 55.3
30.50, 100.0
30.59, 44.5
30.71, 46.6
36.24, 43.0
53.54, 25.4
53.91, 22.4
54.50, 36.4
63.79, 30.0

=====

Diffraction record for Mn6OF11. The powder XRD pattern is computed, not measured: it uses a DFT-relaxed cell (GGA+U, the Materials Project) and CuKα.
Neutral-atom scattering factors, no anomalous dispersion.

Crystal structure
a = 5.8833 Å, b = 4.9671 Å, c = 16.2180 Å
α = 90.00°, β = 90.39°, γ = 90.00°
Space group P2_1 (No. 4)
Asymmetric unit:
Mn  0.0597  0.0000  0.0872 [2 per cell]
Mn  0.0785  0.0246  0.4146 [2 per cell]
Mn  0.0850  0.0364  0.7568 [2 per cell]
Mn  0.3968  0.0377  0.9179 [2 per cell]
Mn  0.4170  0.0207  0.5837 [2 per cell]
Mn  0.4206  0.0184  0.2478 [2 per cell]
O  0.1649  0.2336  0.8670 [2 per cell]
F  0.1338  0.2341  0.1917 [2 per cell]
F  0.1406  0.8002  0.6462 [2 per cell]
F  0.1430  0.2528  0.5256 [2 per cell]
F  0.1435  0.8004  0.9745 [2 per cell]
F  0.1459  0.7894  0.3049 [2 per cell]
F  0.3529  0.7900  0.4740 [2 per cell]
F  0.3548  0.2567  0.6919 [2 per cell]
F  0.3569  0.7780  0.1361 [2 per cell]
F  0.3589  0.2470  0.3583 [2 per cell]
F  0.3687  0.7942  0.8125 [2 per cell]
F  0.3778  0.2691  0.0302 [2 per cell]

Top 10 peaks for 2θ = 10–80°, in order of rising 2θ:
two_theta, intensity
23.44, 73.4
28.68, 100.0
28.80, 91.2
37.90, 20.2
39.21, 19.5
49.86, 46.3
50.00, 26.7
50.93, 29.9
51.08, 32.2
60.57, 23.3

=====

Diffraction record for Mn12O5F19. The powder XRD pattern is computed, not measured: it uses a DFT-relaxed cell (GGA+U, the Materials Project) and CuKα.
Neutral-atom scattering factors, no anomalous dispersion.

Crystal structure
a = 4.8422 Å, b = 5.8393 Å, c = 15.9560 Å
α = 89.52°, β = 89.98°, γ = 88.80°
Space group P1 (No. 1)
Asymmetric unit:
Mn  0.0000  0.0000  0.0000 [1 per cell]
Mn  0.0023  0.0039  0.6585 [1 per cell]
Mn  0.0071  0.7060  0.8334 [1 per cell]
Mn  0.0181  0.6980  0.1638 [1 per cell]
Mn  0.4661  0.1670  0.8335 [1 per cell]
Mn  0.4775  0.5106  0.3187 [1 per cell]
Mn  0.5100  0.5085  0.9970 [1 per cell]
Mn  0.5162  0.1865  0.1603 [1 per cell]
Mn  0.5225  0.1822  0.4918 [1 per cell]
Mn  0.5292  0.5326  0.6600 [1 per cell]
Mn  0.9768  0.7024  0.4986 [1 per cell]
Mn  0.9911  0.0064  0.3360 [1 per cell]
O  0.1982  0.9593  0.8943 [1 per cell]
O  0.2783  0.4711  0.2106 [1 per cell]
O  0.7895  0.9545  0.4438 [1 per cell]
O  0.8019  0.7498  0.6049 [1 per cell]
O  0.8052  0.9586  0.1078 [1 per cell]
F  0.2210  0.7212  0.3928 [1 per cell]
F  0.2417  0.7370  0.0550 [1 per cell]
F  0.2443  0.9594  0.2277 [1 per cell]
F  0.2504  0.7467  0.7239 [1 per cell]
F  0.2615  0.9724  0.5562 [1 per cell]
F  0.2656  0.4727  0.5457 [1 per cell]
F  0.2672  0.2396  0.7132 [1 per cell]
F  0.2670  0.4584  0.8865 [1 per cell]
F  0.2739  0.2339  0.3826 [1 per cell]
F  0.2811  0.2274  0.0503 [1 per cell]
F  0.7227  0.4599  0.4302 [1 per cell]
F  0.7311  0.2331  0.2722 [1 per cell]
F  0.7335  0.2316  0.9422 [1 per cell]
F  0.7365  0.4691  0.7796 [1 per cell]
F  0.7415  0.2555  0.6049 [1 per cell]
F  0.7609  0.4621  0.1060 [1 per cell]
F  0.7619  0.7446  0.9417 [1 per cell]
F  0.7624  0.9648  0.7690 [1 per cell]
F  0.7814  0.7339  0.2726 [1 per cell]

Top 10 peaks for 2θ = 10–80°, in order of rising 2θ:
two_theta, intensity
23.63, 90.9
24.13, 89.3
28.98, 98.0
29.13, 100.0
29.40, 93.3
29.54, 95.4
33.70, 38.7
38.63, 41.2
51.02, 92.1
51.40, 37.5

=====

Diffraction record for Mn6O7F5. The powder XRD pattern is computed, not measured: it uses a DFT-relaxed cell (GGA+U, the Materials Project) and CuKα.
Neutral-atom scattering factors, no anomalous dispersion.

Crystal structure
a = 4.5994 Å, b = 5.6399 Å, c = 15.3076 Å
α = 90.02°, β = 90.03°, γ = 91.12°
Space group P1 (No. 1)
Asymmetric unit:
Mn  0.0000  0.0000  0.0000 [1 per cell]
Mn  0.0013  0.0027  0.3290 [1 per cell]
Mn  0.0305  0.3130  0.8320 [1 per cell]
Mn  0.4681  0.8159  0.8212 [1 per cell]
Mn  0.4711  0.8172  0.1580 [1 per cell]
Mn  0.4732  0.5298  0.3206 [1 per cell]
Mn  0.4750  0.5148  0.6620 [1 per cell]
Mn  0.4758  0.5325  0.9895 [1 per cell]
Mn  0.5010  0.7880  0.4871 [1 per cell]
Mn  0.9726  0.3211  0.1681 [1 per cell]
Mn  0.9788  0.0138  0.6658 [1 per cell]
Mn  0.9950  0.3484  0.5014 [1 per cell]
O  0.1892  0.0560  0.1098 [1 per cell]
O  0.1940  0.2826  0.6113 [1 per cell]
O  0.2033  0.2816  0.2744 [1 per cell]
O  0.2098  0.0551  0.7739 [1 per cell]
O  0.2187  0.2801  0.9398 [1 per cell]
O  0.2550  0.7731  0.2666 [1 per cell]
O  0.2576  0.5505  0.7703 [1 per cell]
O  0.2663  0.5625  0.4304 [1 per cell]
O  0.2685  0.7744  0.9300 [1 per cell]
O  0.6930  0.7902  0.7146 [1 per cell]
O  0.6942  0.5495  0.2149 [1 per cell]
O  0.6968  0.7875  0.0508 [1 per cell]
O  0.6979  0.5476  0.5524 [1 per cell]
O  0.7176  0.7740  0.3807 [1 per cell]
F  0.2151  0.5561  0.1001 [1 per cell]
F  0.2282  0.0579  0.4454 [1 per cell]
F  0.2344  0.7862  0.5907 [1 per cell]
F  0.7266  0.0547  0.2218 [1 per cell]
F  0.7294  0.2981  0.0535 [1 per cell]
F  0.7387  0.0356  0.5494 [1 per cell]
F  0.7457  0.2839  0.3853 [1 per cell]
F  0.7473  0.5476  0.8787 [1 per cell]
F  0.7554  0.0441  0.8870 [1 per cell]
F  0.7563  0.2880  0.7315 [1 per cell]

Top 10 peaks for 2θ = 10–80°, in order of rising 2θ:
two_theta, intensity
24.74, 59.4
25.23, 54.3
30.40, 99.5
30.80, 100.0
35.18, 22.1
36.41, 40.7
53.66, 47.8
54.05, 38.7
55.05, 37.0
63.92, 32.6

=====

Diffraction record for Mn3O5F. The powder XRD pattern is computed, not measured: it uses a DFT-relaxed cell (GGA+U, the Materials Project) and CuKα.
Neutral-atom scattering factors, no anomalous dispersion.

Crystal structure
a = 4.5470 Å, b = 5.4533 Å, c = 7.5365 Å
α = 86.42°, β = 89.95°, γ = 89.89°
Space group P1 (No. 1)
Asymmetric unit:
Mn  0.0000  0.0000  0.0000 [1 per cell]
Mn  0.0018  0.6506  0.3113 [1 per cell]
Mn  0.0040  0.3107  0.6590 [1 per cell]
Mn  0.5071  0.1537  0.3270 [1 per cell]
Mn  0.5138  0.4762  0.9905 [1 per cell]
Mn  0.5376  0.8290  0.6521 [1 per cell]
O  0.2027  0.2819  0.8892 [1 per cell]
O  0.2089  0.9448  0.2205 [1 per cell]
O  0.3189  0.4485  0.2215 [1 per cell]
O  0.3202  0.1155  0.5569 [1 per cell]
O  0.7019  0.1879  0.0969 [1 per cell]
O  0.7069  0.5258  0.7569 [1 per cell]
O  0.7110  0.8585  0.4218 [1 per cell]
O  0.8180  0.3575  0.4237 [1 per cell]
O  0.8176  0.6920  0.0877 [1 per cell]
O  0.8219  0.0238  0.7647 [1 per cell]
F  0.2073  0.6202  0.5540 [1 per cell]
F  0.3124  0.7885  0.8856 [1 per cell]

Top 10 peaks for 2θ = 10–80°, in order of rising 2θ:
two_theta, intensity
27.75, 100.0
35.80, 53.2
39.65, 9.1
41.10, 15.8
54.47, 51.6
57.38, 8.2
61.68, 8.8
64.85, 8.8
68.94, 11.5
69.45, 20.4

=====

Diffraction record for Mn6O7F5. The powder XRD pattern is computed, not measured: it uses a DFT-relaxed cell (GGA+U, the Materials Project) and CuKα.
Neutral-atom scattering factors, no anomalous dispersion.

Crystal structure
a = 4.5593 Å, b = 5.6380 Å, c = 15.3312 Å
α = 89.79°, β = 89.74°, γ = 89.86°
Space group P1 (No. 1)
Asymmetric unit:
Mn  0.0000  0.0000  0.0000 [1 per cell]
Mn  0.0000  0.0070  0.3334 [1 per cell]
Mn  0.0008  0.3084  0.8337 [1 per cell]
Mn  0.0155  0.3224  0.5028 [1 per cell]
Mn  0.0281  0.3157  0.1675 [1 per cell]
Mn  0.0530  0.0078  0.6694 [1 per cell]
Mn  0.4885  0.5123  0.6824 [1 per cell]
Mn  0.4917  0.7905  0.5116 [1 per cell]
Mn  0.4936  0.5020  0.3438 [1 per cell]
Mn  0.4997  0.8043  0.8441 [1 per cell]
Mn  0.5013  0.7933  0.1847 [1 per cell]
Mn  0.5085  0.5069  0.0154 [1 per cell]
O  0.2122  0.0419  0.8907 [1 per cell]
O  0.2122  0.2642  0.3924 [1 per cell]
O  0.2186  0.2722  0.0581 [1 per cell]
O  0.2336  0.0442  0.2262 [1 per cell]
O  0.2350  0.0453  0.5607 [1 per cell]
O  0.2407  0.2716  0.7275 [1 per cell]
O  0.2798  0.5497  0.2361 [1 per cell]
O  0.2836  0.5530  0.5744 [1 per cell]
O  0.2851  0.7657  0.7353 [1 per cell]
O  0.7125  0.7731  0.9546 [1 per cell]
O  0.7159  0.5350  0.4519 [1 per cell]
O  0.7189  0.7765  0.2880 [1 per cell]
O  0.7214  0.5348  0.7869 [1 per cell]
O  0.7308  0.5452  0.1215 [1 per cell]
F  0.2322  0.7648  0.4020 [1 per cell]
F  0.2470  0.5387  0.9112 [1 per cell]
F  0.2566  0.7764  0.0781 [1 per cell]
F  0.7448  0.0269  0.4477 [1 per cell]
F  0.7446  0.2703  0.9387 [1 per cell]
F  0.7520  0.0295  0.1142 [1 per cell]
F  0.7617  0.7725  0.6240 [1 per cell]
F  0.7679  0.2850  0.6159 [1 per cell]
F  0.7704  0.2785  0.2730 [1 per cell]
F  0.7780  0.0319  0.7694 [1 per cell]

Top 10 peaks for 2θ = 10–80°, in order of rising 2θ:
two_theta, intensity
25.12, 77.9
30.58, 35.8
30.73, 100.0
36.34, 16.1
36.46, 14.6
41.65, 23.5
53.77, 17.2
54.03, 15.8
54.87, 38.4
66.30, 15.7